Starting from a cell relaxed with GGA+U, the powder diffraction line list of Na2Ho2CrO6 was calculated for Cu Kα (weighted mean of Kα1 and Kα2).
No peak broadening, texture or thermal motion is included.

Main lines, in order of rising 2θ (10° ≤ 2θ ≤ 80°):
- hkl 0 0 1, 2θ 15.67, I = 1000
- hkl 0 0 2, 2θ 31.63, I = 166
- hkl 1 3 0, 2θ 32.09, I = 250
- hkl 2 0 0, 2θ 32.63, I = 143
- hkl 1 3 -1, 2θ 33.87, I = 239
- hkl 1 3 1, 2θ 37.83, I = 412
- hkl 2 0 -2, 2θ 39.24, I = 197
- hkl 1 3 -3, 2θ 55.01, I = 144

Cell: 5.6902 9.7149 5.8653 Å, 90.00 105.32 90.00°
Space group C2/m (No. 12)
Unique sites:
Na 0.0000 0.1461 0.0000 [4 per cell]
Ho 0.0000 0.3364 0.5000 [4 per cell]
Cr 0.0000 0.0000 0.5000 [2 per cell]
O 0.1957 0.1505 0.6881 [8 per cell]
O 0.2440 0.0000 0.3045 [4 per cell]



Starting from a cell relaxed with GGA+U, the powder diffraction line list of HoCrP2O8 was calculated for Cu Kα (weighted mean of Kα1 and Kα2).
No peak broadening, texture or thermal motion is included.

Main lines, in order of rising 2θ (10° ≤ 2θ ≤ 80°):
- hkl 1 1 0, 2θ 18.68, I = 260
- hkl 1 0 1, 2θ 19.92, I = 610
- hkl 2 0 0, 2θ 26.54, I = 1000
- hkl 2 1 1, 2θ 33.41, I = 256
- hkl 1 1 2, 2θ 35.56, I = 608
- hkl 3 0 1, 2θ 43.17, I = 230
- hkl 3 2 1, 2θ 51.39, I = 211
- hkl 3 1 2, 2θ 52.94, I = 517

Cell: 6.7161 6.7161 5.9608 Å, 90.00 90.00 90.00°
Space group I-4m2 (No. 119)
Unique sites:
Ho 0.0000 0.0000 0.0000 [2 per cell]
Cr 0.0000 0.5000 0.7500 [2 per cell]
P 0.0000 0.0000 0.5000 [2 per cell]
P 0.0000 0.5000 0.2500 [2 per cell]
O 0.0000 0.1820 0.6638 [8 per cell]
O 0.0000 0.3247 0.0821 [8 per cell]



Starting from a cell relaxed with GGA+U, the powder diffraction line list of HoCr2SbO8 was calculated for Cu Kα (weighted mean of Kα1 and Kα2).
No peak broadening, texture or thermal motion is included.

Main lines, in order of rising 2θ (10° ≤ 2θ ≤ 80°):
- hkl 1 1 0, 2θ 18.86, I = 668
- hkl 2 0 0, 2θ 26.46, I = 1000
- hkl 0 2 0, 2θ 27.13, I = 874
- hkl 1 1 -2, 2θ 33.72, I = 755
- hkl 1 1 2, 2θ 34.27, I = 673
- hkl 2 2 0, 2θ 38.26, I = 369
- hkl 0 2 2, 2θ 39.40, I = 354
- hkl 3 1 2, 2θ 52.29, I = 604

Cell: 6.7401 6.5735 6.3712 Å, 90.00 91.39 90.00°
Space group C2/m (No. 12)
Unique sites:
Ho 0.0000 0.0000 0.0000 [2 per cell]
Cr 0.0025 0.5000 0.7486 [4 per cell]
Sb 0.0000 0.0000 0.5000 [2 per cell]
O 0.0012 0.2063 0.2710 [8 per cell]
O 0.1717 0.5000 0.9885 [4 per cell]
O 0.1917 0.5000 0.4950 [4 per cell]